This entry pairs a crystal structure of Np2As7Pd12 with its simulated powder diffraction line list. Radiation: a wavelength of 1.5418 Å. Structure: a GGA-PBE-relaxed structure.

Peak list (8 most intense, 2θ from 10° to 90°, low angle first)
2θ = 34.92°, I 100
2θ = 35.40°, I 9
2θ = 37.90°, I 10
2θ = 43.33°, I 15
2θ = 44.67°, I 18
2θ = 47.44°, I 25
2θ = 67.20°, I 14
2θ = 75.98°, I 10

```
data_Np2As7Pd12
_space_group_name_H-M_alt 'P -3'
_space_group_IT_number 147
_cell_length_a 10.1417
_cell_length_b 10.1417
_cell_length_c 4.0570
_cell_angle_alpha 90.00
_cell_angle_beta 90.00
_cell_angle_gamma 120.00
loop_
_space_group_symop_operation_xyz
'x,y,z'
'-x,-y,-z'
'-y,x-y,z'
'y,-x+y,-z'
'-x+y,-x,z'
'x-y,x,-z'
loop_
_atom_site_label
_atom_site_type_symbol
_atom_site_fract_x
_atom_site_fract_y
_atom_site_fract_z
Np1 Np 0.3333 0.6667 0.2466
As1 As 0.0000 0.0000 0.5000
As2 As 0.1297 0.4190 0.7469
Pd1 Pd 0.0470 0.6151 0.7477
Pd2 Pd 0.1019 0.8480 0.2323
```